Simulated powder diffraction line list
Compound: Re3Tc4Ru4
Radiation: CuKα
Structure: a cell relaxed with GGA-PBE
Lines closer than 0.1° are merged.

Structure:
```
Re3Tc4Ru4
1.0
2.728 0.000 0.000
0.007 3.875 0.000
1.354 1.918 15.063
Re Tc Ru
3 4 4
Cartesian
0.000 0.000 0.000 Re
1.363 1.931 4.102 Re
2.726 3.862 10.961 Re
1.358 1.925 9.548 Tc
1.367 1.933 1.374 Tc
2.721 3.859 13.690 Tc
2.731 3.867 5.515 Tc
1.356 1.921 12.303 Ru
1.362 1.926 6.833 Ru
2.727 3.867 8.231 Ru
2.732 3.871 2.760 Ru
```

The 8 most intense peaks (2θ from 5° to 70°), in order of rising 2θ:
2θ = 40.33°, I 100, hkl 0 1 6
2θ = 40.44°, I 99, hkl 1 1 1
2θ = 46.94°, I 65, hkl 0 2 1
2θ = 47.04°, I 32, hkl 1 0 6
2θ = 68.48°, I 11, hkl 1 2 -4
2θ = 68.58°, I 31, hkl 1 2 7
2θ = 68.65°, I 10, hkl -1 2 6
2θ = 68.83°, I 10, hkl 2 0 1